This entry pairs a crystal structure of K3Ho3CrO8 with its computed powder X-ray diffraction pattern. Radiation: λ = 1.5418 Å (Cu Kα). Structure: a structure optimized by DFT (GGA+U).
Peak positions follow from Bragg's law for the DFT cell and can differ from measured ones.

Structure:
Unit cell a=6.6813 b=6.6813 c=18.8395 alpha=90.00 beta=90.00 gamma=120.00
Space group R-3m (No. 166, hexagonal axes)
Inequivalent atoms, fractional coordinates:
K1 0.0000 0.5000 0.0000 (multiplicity 9)
Ho1 0.0000 0.5000 0.5000 (multiplicity 9)
Cr1 0.0000 0.0000 0.5000 (multiplicity 3)
O1 0.0000 0.0000 0.2275 (multiplicity 6)
O2 0.0347 0.5173 0.2234 (multiplicity 18)

Top 8 peaks for 2θ = 10–90°, in order of falling intensity:
- 14.1°, rel. 100, hkl 0 0 3
- 36.4°, rel. 75, hkl 0 2 4
- 32.4°, rel. 51, hkl 2 0 2
- 31.3°, rel. 30, hkl 0 2 1
- 28.4°, rel. 28, hkl 0 0 6
- 49.9°, rel. 25, hkl 2 0 8
- 55.0°, rel. 22, hkl 2 2 0
- 63.0°, rel. 19, hkl 2 2 6